Starting from a DFT-relaxed cell (GGA-PBE, Alexandria), the powder diffractogram of KLi3Be4H12 was computed for Cu Kα, 1.54184 Å.
Peak positions follow from Bragg's law for the DFT cell and can differ from measured ones.

Structure:
Cell lengths 6.095, 6.095, 6.095 Å; angles 106.90, 106.90, 106.90 degrees
Fractional coordinates of all 20 atoms:
K  0.000  0.000  0.000
Li  0.000  0.559  0.441
Li  0.441  0.000  0.559
Li  0.559  0.441  0.000
Be  0.076  0.500  0.924
Be  0.500  0.500  0.500
Be  0.500  0.924  0.076
Be  0.924  0.076  0.500
H  0.069  0.931  0.500
H  0.089  0.646  0.784
H  0.216  0.354  0.911
H  0.354  0.911  0.216
H  0.357  0.643  0.500
H  0.500  0.069  0.931
H  0.500  0.357  0.643
H  0.643  0.500  0.357
H  0.646  0.784  0.089
H  0.784  0.089  0.646
H  0.911  0.216  0.354
H  0.931  0.500  0.069

The 10 most intense peaks (2θ from 10° to 80°), by angle:
- 16.66°, intensity 100
- 18.12°, intensity 71
- 24.71°, intensity 29
- 28.17°, intensity 37
- 30.81°, intensity 47
- 31.65°, intensity 44
- 33.69°, intensity 80
- 36.71°, intensity 38
- 38.52°, intensity 35
- 40.56°, intensity 31


Starting from a DFT-relaxed cell (GGA-PBE, Alexandria), the powder diffractogram of KRbBeH4 was computed for Cu Kα, 1.54184 Å.
Peak positions follow from Bragg's law for the DFT cell and can differ from measured ones.

Structure:
Cell lengths 5.603, 5.603, 8.908 Å; angles 90.00, 90.00, 122.93 degrees
Fractional coordinates of all 14 atoms:
K  0.199  0.801  0.750
K  0.801  0.199  0.250
Rb  0.500  0.500  0.000
Rb  0.500  0.500  0.500
Be  0.138  0.862  0.250
Be  0.862  0.138  0.750
H  0.166  0.273  0.750
H  0.225  0.775  0.116
H  0.225  0.775  0.384
H  0.273  0.166  0.250
H  0.727  0.834  0.750
H  0.775  0.225  0.616
H  0.775  0.225  0.884
H  0.834  0.727  0.250

The 10 most intense peaks (2θ from 10° to 80°), by angle:
- 18.02°, intensity 16
- 18.87°, intensity 51
- 21.37°, intensity 17
- 27.00°, intensity 67
- 27.58°, intensity 100
- 31.99°, intensity 50
- 33.49°, intensity 28
- 43.52°, intensity 37
- 52.52°, intensity 22
- 53.70°, intensity 20


Starting from a DFT-relaxed cell (GGA-PBE, Alexandria), the powder diffractogram of LaBe2H6 was computed for Cu Kα, 1.54184 Å.
Peak positions follow from Bragg's law for the DFT cell and can differ from measured ones.

Structure:
Cell lengths 4.322, 4.378, 4.381 Å; angles 113.80, 93.96, 93.90 degrees
Fractional coordinates of all 9 atoms:
La  0.000  0.000  0.000
Be  0.499  0.644  0.357
Be  0.501  0.356  0.643
H  0.213  0.591  0.158
H  0.218  0.154  0.592
H  0.453  0.721  0.721
H  0.547  0.279  0.279
H  0.782  0.846  0.408
H  0.787  0.409  0.842

The 10 most intense peaks (2θ from 10° to 80°), by angle:
- 20.72°, intensity 54
- 22.31°, intensity 100
- 24.26°, intensity 44
- 28.94°, intensity 69
- 32.11°, intensity 46
- 32.24°, intensity 52
- 37.92°, intensity 17
- 41.54°, intensity 27
- 45.93°, intensity 24
- 48.30°, intensity 17


Starting from a DFT-relaxed cell (GGA-PBE, Alexandria), the powder diffractogram of LaBeH5 was computed for Cu Kα, 1.54184 Å.
Peak positions follow from Bragg's law for the DFT cell and can differ from measured ones.

Structure:
Cell lengths 4.732, 6.447, 3.860 Å; angles 90.00, 90.00, 90.00 degrees
Fractional coordinates of all 14 atoms:
La  0.000  0.000  0.000
La  0.500  0.500  0.500
Be  0.000  0.500  0.951
Be  0.500  0.000  0.451
H  0.000  0.500  0.563
H  0.237  0.340  0.006
H  0.237  0.660  0.006
H  0.263  0.160  0.506
H  0.263  0.840  0.506
H  0.500  0.000  0.063
H  0.737  0.160  0.506
H  0.737  0.840  0.506
H  0.763  0.340  0.006
H  0.763  0.660  0.006

The 10 most intense peaks (2θ from 10° to 80°), by angle:
- 23.32°, intensity 100
- 26.92°, intensity 71
- 27.67°, intensity 41
- 29.87°, intensity 66
- 38.04°, intensity 17
- 41.17°, intensity 55
- 46.41°, intensity 17
- 47.21°, intensity 34
- 47.68°, intensity 19
- 53.19°, intensity 22


Starting from a DFT-relaxed cell (GGA-PBE, Alexandria), the powder diffractogram of LaBeH4 was computed for Cu Kα, 1.54184 Å.
Peak positions follow from Bragg's law for the DFT cell and can differ from measured ones.

Structure:
Cell lengths 6.648, 4.671, 4.112 Å; angles 90.00, 90.00, 90.00 degrees
Fractional coordinates of all 12 atoms:
La  0.000  0.193  0.000
La  0.500  0.807  0.500
Be  0.000  0.719  0.566
Be  0.500  0.281  0.066
H  0.000  0.428  0.486
H  0.000  0.698  0.918
H  0.156  0.934  0.490
H  0.344  0.066  0.990
H  0.500  0.302  0.418
H  0.500  0.572  0.986
H  0.656  0.066  0.990
H  0.844  0.934  0.490

The 10 most intense peaks (2θ from 10° to 80°), by angle:
- 23.27°, intensity 100
- 25.47°, intensity 93
- 26.82°, intensity 52
- 28.93°, intensity 72
- 39.86°, intensity 59
- 45.29°, intensity 18
- 46.55°, intensity 20
- 46.78°, intensity 22
- 50.40°, intensity 27
- 52.32°, intensity 16


Starting from a DFT-relaxed cell (GGA-PBE, Alexandria), the powder diffractogram of La3Be2P4H2 was computed for Cu Kα, 1.54184 Å.
Peak positions follow from Bragg's law for the DFT cell and can differ from measured ones.

Structure:
Cell lengths 12.192, 12.192, 12.192 Å; angles 160.71, 160.71, 27.41 degrees
Fractional coordinates of all 11 atoms:
La  0.000  0.000  0.000
La  0.183  0.183  0.000
La  0.817  0.817  0.000
Be  0.451  0.451  0.000
Be  0.549  0.549  0.000
P  0.094  0.594  0.500
P  0.406  0.906  0.500
P  0.594  0.094  0.500
P  0.906  0.406  0.500
H  0.288  0.288  0.000
H  0.712  0.712  0.000

The 10 most intense peaks (2θ from 10° to 80°), by angle:
- 22.08°, intensity 79
- 22.52°, intensity 19
- 28.86°, intensity 100
- 30.95°, intensity 28
- 38.62°, intensity 73
- 44.34°, intensity 33
- 47.74°, intensity 33
- 53.77°, intensity 35
- 67.19°, intensity 23
- 71.59°, intensity 20


Starting from a DFT-relaxed cell (GGA-PBE, Alexandria), the powder diffractogram of LaBeZnHRhS was computed for Cu Kα, 1.54184 Å.
Peak positions follow from Bragg's law for the DFT cell and can differ from measured ones.

Structure:
Cell lengths 3.588, 3.294, 15.683 Å; angles 90.00, 90.00, 90.00 degrees
Fractional coordinates of all 12 atoms:
La  0.000  0.000  0.000
La  0.000  0.500  0.500
Be  0.500  0.000  0.794
Be  0.500  0.500  0.294
Zn  0.000  0.000  0.206
Zn  0.000  0.500  0.706
H  0.500  0.000  0.540
H  0.500  0.500  0.040
Rh  0.500  0.000  0.650
Rh  0.500  0.500  0.150
S  0.500  0.000  0.378
S  0.500  0.500  0.878

The 10 most intense peaks (2θ from 10° to 80°), by angle:
- 11.28°, intensity 65
- 22.68°, intensity 21
- 27.33°, intensity 20
- 32.12°, intensity 43
- 33.86°, intensity 69
- 34.31°, intensity 22
- 37.50°, intensity 100
- 39.68°, intensity 36
- 47.36°, intensity 24
- 55.84°, intensity 31


Starting from a DFT-relaxed cell (GGA-PBE, Alexandria), the powder diffractogram of LiBeH was computed for Cu Kα, 1.54184 Å.
Peak positions follow from Bragg's law for the DFT cell and can differ from measured ones.

Structure:
Cell lengths 4.616, 2.567, 4.705 Å; angles 90.00, 96.30, 90.00 degrees
Fractional coordinates of all 6 atoms:
Li  0.186  0.000  0.323
Li  0.814  0.000  0.677
Be  0.326  0.500  0.824
Be  0.674  0.500  0.176
H  0.351  0.500  0.139
H  0.649  0.500  0.861

The 10 most intense peaks (2θ from 10° to 80°), by angle:
- 19.35°, intensity 35
- 38.50°, intensity 44
- 39.27°, intensity 47
- 40.07°, intensity 55
- 40.25°, intensity 49
- 43.86°, intensity 100
- 45.43°, intensity 32
- 45.87°, intensity 88
- 70.70°, intensity 39
- 71.86°, intensity 39